# 1
Theoretical powder XRD pattern
Compound: Ac5Ge5Pd2
Radiation: λ = 1.5418 Å (Cu Kα)
Structure: a PBE-relaxed structure
Peak positions follow from Bragg's law for the DFT cell and can differ from measured ones.

a b c (Å): 16.3456 4.5393 12.1135
angles (deg): 90.00 131.46 90.00
Space group C2/m (No. 12)
Inequivalent atoms, fractional coordinates:
Ac (0.0000, 0.0000, 0.0000)
Ac (0.1126, 0.0000, 0.4195)
Ac (0.1976, 0.0000, 0.8201)
Ge (0.0000, 0.5000, 0.5000)
Ge (0.0584, 0.5000, 0.8401)
Ge (0.2471, 0.5000, 0.6854)
Pd (0.1426, 0.5000, 0.2558)

Most intense lines, 5° ≤ 2θ ≤ 70°, in order of rising 2θ:
hkl  2theta  intensity
3 1 -3  29.7  1000
2 0 2  31.4  501
1 1 2  32.0  577
1 1 -3  32.1  316
6 0 -4  34.5  397
5 1 -1  36.8  602
0 2 0  39.7  430
4 0 -6  46.0  336

# 2
Theoretical powder XRD pattern
Compound: Ac2PrGe2Pd7
Radiation: λ = 1.5418 Å (Cu Kα)
Structure: a PBE-relaxed structure
Peak positions follow from Bragg's law for the DFT cell and can differ from measured ones.

a b c (Å): 6.1060 6.0261 14.0663
angles (deg): 90.00 97.63 90.00
Space group C2/m (No. 12)
Inequivalent atoms, fractional coordinates:
Ac (0.1023, 0.0000, 0.3523)
Pr (0.0000, 0.0000, 0.0000)
Ge (0.0768, 0.5000, 0.2436)
Pd (0.0000, 0.5000, 0.0000)
Pd (0.1161, 0.5000, 0.4250)
Pd (0.2026, 0.2512, 0.8480)

Most intense lines, 5° ≤ 2θ ≤ 70°, in order of rising 2θ:
hkl  2theta  intensity
0 2 0  29.7  522
2 0 -3  33.1  431
2 0 2  33.8  610
1 1 4  34.7  405
0 2 3  35.5  1000
2 2 -1  42.2  737
2 2 0  42.3  411
1 1 -6  42.5  353

# 3
Theoretical powder XRD pattern
Compound: Ac2Ge3Pd12Pt
Radiation: λ = 1.5418 Å (Cu Kα)
Structure: a PBE-relaxed structure
Peak positions follow from Bragg's law for the DFT cell and can differ from measured ones.

a b c (Å): 8.4862 8.4862 18.2882
angles (deg): 90.00 90.00 120.00
Space group R-3m (No. 166, hexagonal axes)
Inequivalent atoms, fractional coordinates:
Ac (0.0000, 0.0000, 0.1154)
Ge (0.0000, 0.5000, 0.0000)
Pd (0.0072, 0.5036, 0.8695)
Pd (0.0260, 0.5130, 0.3699)
Pt (0.0000, 0.0000, 0.5000)

Most intense lines, 5° ≤ 2θ ≤ 70°, in order of rising 2θ:
hkl  2theta  intensity
1 1 3  25.6  448
0 1 5  27.2  367
0 2 4  31.2  873
1 2 5  40.8  172
2 2 0  42.6  1000
2 0 8  46.8  718
4 0 4  53.8  171
0 4 8  65.1  252

# 4
Theoretical powder XRD pattern
Compound: Ac2GeSbPd6
Radiation: λ = 1.5418 Å (Cu Kα)
Structure: a PBE-relaxed structure
Peak positions follow from Bragg's law for the DFT cell and can differ from measured ones.

a b c (Å): 5.6536 6.7178 7.0749
angles (deg): 77.04 66.52 65.25
Space group P-1 (No. 2)
Inequivalent atoms, fractional coordinates:
Ac (0.2492, 0.2793, 0.2239)
Ge (0.5000, 0.5000, 0.5000)
Sb (0.0000, 0.0000, 0.0000)
Pd (0.2520, 0.2613, 0.7391)
Pd (0.2525, 0.7389, 0.2605)
Pd (0.2524, 0.8967, 0.5972)

Most intense lines, 5° ≤ 2θ ≤ 70°, in order of rising 2θ:
hkl  2theta  intensity
1 1 2  26.6  692
0 0 2  27.6  1000
1 2 0  28.3  392
2 2 2  37.3  879
2 2 0  38.1  985
0 2 2  39.2  795
1 0 3  39.4  591
1 -2 1  41.4  497

# 5
Theoretical powder XRD pattern
Compound: Ac2SiGe4Pd3
Radiation: λ = 1.5418 Å (Cu Kα)
Structure: a PBE-relaxed structure
Peak positions follow from Bragg's law for the DFT cell and can differ from measured ones.

a b c (Å): 4.5006 4.5006 10.2471
angles (deg): 90.00 90.00 90.00
Space group P-4m2 (No. 115)
Inequivalent atoms, fractional coordinates:
Ac (0.0000, 0.5000, 0.2497)
Si (0.0000, 0.0000, 0.5000)
Ge (0.0000, 0.0000, 0.0000)
Ge (0.0000, 0.5000, 0.6280)
Ge (0.5000, 0.5000, 0.0000)
Pd (0.0000, 0.5000, 0.8748)
Pd (0.5000, 0.5000, 0.5000)

Most intense lines, 5° ≤ 2θ ≤ 70°, in order of rising 2θ:
hkl  2theta  intensity
1 1 0  28.0  383
1 0 3  32.9  919
1 1 2  33.1  1000
2 0 0  40.1  663
1 0 5  48.8  323
2 1 3  52.8  489
2 1 5  64.9  275
3 1 2  68.4  249

# 6
Theoretical powder XRD pattern
Compound: Ac2SmGe3Pd12
Radiation: λ = 1.5418 Å (Cu Kα)
Structure: a PBE-relaxed structure
Peak positions follow from Bragg's law for the DFT cell and can differ from measured ones.

a b c (Å): 9.5093 9.5093 13.3206
angles (deg): 90.00 90.00 120.00
Space group R-3m (No. 166, hexagonal axes)
Inequivalent atoms, fractional coordinates:
Ac (0.0000, 0.0000, 0.1473)
Sm (0.0000, 0.0000, 0.5000)
Ge (0.0000, 0.5000, 0.0000)
Pd (0.9998, 0.4999, 0.1865)
Pd (0.0253, 0.5126, 0.3891)

Most intense lines, 5° ≤ 2θ ≤ 70°, in order of rising 2θ:
hkl  2theta  intensity
0 0 3  20.0  149
1 1 3  27.5  310
0 1 5  35.4  133
2 2 0  37.8  1000
3 0 3  38.6  148
2 0 5  40.3  293
2 2 3  43.2  134
6 0 0  68.3  159

# 7
Theoretical powder XRD pattern
Compound: AcSn2Ge2Pd7
Radiation: λ = 1.5418 Å (Cu Kα)
Structure: a PBE-relaxed structure
Peak positions follow from Bragg's law for the DFT cell and can differ from measured ones.

a b c (Å): 6.1815 6.2846 11.8323
angles (deg): 90.00 90.22 90.00
Space group C2/m (No. 12)
Inequivalent atoms, fractional coordinates:
Ac (0.0000, 0.0000, 0.0000)
Sn (0.9998, 0.0000, 0.3310)
Ge (0.0021, 0.5000, 0.6887)
Pd (0.0000, 0.5000, 0.0000)
Pd (0.2237, 0.5000, 0.4994)
Pd (0.2475, 0.2513, 0.1878)

Most intense lines, 5° ≤ 2θ ≤ 70°, in order of rising 2θ:
hkl  2theta  intensity
0 2 0  28.4  294
0 2 2  32.3  636
0 2 3  36.6  953
2 0 -3  36.9  1000
2 0 3  37.0  998
2 2 0  41.0  787
2 2 1  41.7  451
0 0 6  46.0  442

# 8
Theoretical powder XRD pattern
Compound: Ac2ZnGePd6
Radiation: λ = 1.5418 Å (Cu Kα)
Structure: a PBE-relaxed structure
Peak positions follow from Bragg's law for the DFT cell and can differ from measured ones.

a b c (Å): 12.0991 5.6281 8.4613
angles (deg): 90.00 132.50 90.00
Space group C2/m (No. 12)
Inequivalent atoms, fractional coordinates:
Ac (0.2439, 0.0000, 0.2119)
Zn (0.0000, 0.5000, 0.0000)
Ge (0.0000, 0.0000, 0.5000)
Pd (0.0006, 0.2528, 0.7439)
Pd (0.2485, 0.5000, 0.3950)

Most intense lines, 5° ≤ 2θ ≤ 70°, in order of rising 2θ:
hkl  2theta  intensity
1 1 1  27.4  496
3 1 -1  27.9  519
0 0 2  28.6  457
4 0 -2  29.6  444
2 2 0  37.8  1000
2 2 -2  38.4  925
4 0 0  40.4  708
5 1 -3  41.7  461